(1)
Diffraction record for KMn4I12. The X-ray powder pattern is calculated, not measured: it uses a cell relaxed with PBE and CuKα.
Lines closer than 0.1° are merged.

Most intense lines, 10 to 90 degrees two-theta, low angle first:
h k l, two_theta, I (rel.)
2 0 0, 16.58, 35
3 1 0, 26.35, 100
2 2 2, 28.91, 26
3 2 1, 31.29, 81
4 0 0, 33.51, 25
4 0 2, 37.61, 28
5 0 3, 49.70, 53
5 3 2, 52.75, 46
8 2 2, 75.40, 24
7 5 0, 76.63, 18

Crystal structure
abc: 10.697 10.697 10.697
angles: 90.00 90.00 90.00
Space group Im-3 (No. 204)
Symmetry-distinct sites (fractional):
1 K 0.000 0.000 0.000 x2
2 Mn 0.250 0.250 0.250 x8
3 I 0.000 0.188 0.304 x24

(2)
Diffraction record for NiSn3Pt. The X-ray powder pattern is calculated, not measured: it uses a cell relaxed with PBE and CuKα.
Lines closer than 0.1° are merged.

Most intense lines, 10 to 90 degrees two-theta, low angle first:
h k l, two_theta, I (rel.)
1 0 0, 15.41, 47
2 0 0, 31.11, 36
1 1 1, 31.40, 100
1 0 2, 35.92, 34
1 1 2, 42.44, 90
3 0 0, 47.44, 58
1 1 3, 56.96, 19
2 2 2, 65.52, 23
4 1 2, 84.79, 20
3 0 4, 86.58, 22

Crystal structure
abc: 6.6392 6.6392 5.5533
angles: 90.00 90.00 120.00
Space group P-6c2 (No. 188)
Symmetry-distinct sites (fractional):
1 Ni 0.0000 0.0000 0.0000 x2
2 Sn 0.0388 0.3550 0.2500 x6
3 Pt 0.6667 0.3333 0.0000 x2

(3)
Diffraction record for Er5Tl6Pb. The X-ray powder pattern is calculated, not measured: it uses a cell relaxed with PBE and CuKα.
Lines closer than 0.1° are merged.

Most intense lines, 10 to 90 degrees two-theta, low angle first:
h k l, two_theta, I (rel.)
1 2 3, 32.63, 100
0 0 6, 36.24, 17
2 0 0, 36.84, 19
0 4 0, 40.37, 14
2 0 6, 52.64, 12
2 4 0, 55.79, 11
1 2 9, 62.92, 12
3 2 3, 63.72, 15
2 4 6, 68.36, 10
1 6 3, 68.54, 10

Crystal structure
abc: 4.880 8.937 14.872
angles: 90.00 90.00 90.00
Space group Immm (No. 71)
Symmetry-distinct sites (fractional):
1 Er 0.000 0.000 0.000 x2
2 Er 0.000 0.000 0.356 x4
3 Er 0.000 0.500 0.324 x4
4 Tl 0.000 0.241 0.172 x8
5 Tl 0.000 0.274 0.500 x4
6 Pb 0.000 0.500 0.000 x2

(4)
Diffraction record for Ac3SiAs2Rh9. The X-ray powder pattern is calculated, not measured: it uses a cell relaxed with PBE and CuKα.
Lines closer than 0.1° are merged.

Most intense lines, 10 to 90 degrees two-theta, low angle first:
h k l, two_theta, I (rel.)
1 1 0, 26.52, 28
0 1 2, 27.59, 23
0 2 1, 32.85, 100
0 0 3, 34.61, 27
2 0 2, 38.64, 100
1 2 2, 47.48, 16
2 2 0, 54.60, 35
0 2 4, 56.97, 28
2 2 3, 66.28, 22
0 4 2, 68.88, 16

Crystal structure
abc: 6.7232 6.7232 7.7740
angles: 90.00 90.00 120.00
Space group P-3m1 (No. 164)
Symmetry-distinct sites (fractional):
1 Ac 0.0000 0.0000 0.0000 x1
2 Ac 0.3333 0.6667 0.6662 x2
3 Si 0.0000 0.0000 0.5000 x1
4 As 0.3333 0.6667 0.1917 x2
5 Rh 0.0000 0.5000 0.0000 x3
6 Rh 0.1457 0.2914 0.3016 x6

(5)
Diffraction record for Pu2Ga6Os. The X-ray powder pattern is calculated, not measured: it uses a cell relaxed with PBE and CuKα.
Lines closer than 0.1° are merged.

Most intense lines, 10 to 90 degrees two-theta, low angle first:
h k l, two_theta, I (rel.)
1 0 1, 23.59, 40
1 1 0, 30.07, 45
1 1 1, 34.23, 44
1 0 2, 36.83, 53
0 2 1, 38.56, 100
0 2 2, 48.25, 24
2 1 1, 49.66, 16
2 1 2, 57.91, 22
2 2 0, 62.50, 26
1 2 3, 70.26, 18

Crystal structure
abc: 5.9445 5.9445 5.5425
angles: 90.00 90.00 120.00
Space group P-3m1 (No. 164)
Symmetry-distinct sites (fractional):
1 Pu 0.3333 0.6667 0.3121 x2
2 Ga 0.1761 0.3522 0.8146 x6
3 Os 0.0000 0.0000 0.5000 x1

(6)
Diffraction record for CoCl2. The X-ray powder pattern is calculated, not measured: it uses a cell relaxed with PBE and CuKα.
Lines closer than 0.1° are merged.

Most intense lines, 10 to 90 degrees two-theta, low angle first:
h k l, two_theta, I (rel.)
0 0 1, 13.66, 100
1 0 1, 32.42, 66
1 0 2, 40.60, 52
1 1 0, 51.87, 45
1 1 1, 53.92, 15
0 2 1, 62.53, 8
0 2 2, 67.88, 10
2 0 3, 76.41, 7
1 1 4, 80.53, 6
2 1 1, 85.49, 7

Crystal structure
abc: 3.5244 3.5244 6.4813
angles: 90.00 90.00 120.00
Space group P-3m1 (No. 164)
Symmetry-distinct sites (fractional):
1 Co 0.0000 0.0000 0.0000 x1
2 Cl 0.3333 0.6667 0.7938 x2

(7)
Diffraction record for PrSc5Pd6. The X-ray powder pattern is calculated, not measured: it uses a cell relaxed with PBE and CuKα.
Lines closer than 0.1° are merged.

Most intense lines, 10 to 90 degrees two-theta, low angle first:
h k l, two_theta, I (rel.)
1 3 0, 26.16, 10
0 6 0, 37.18, 26
2 0 0, 37.49, 27
1 3 2, 37.90, 100
2 6 0, 53.82, 17
0 0 4, 55.51, 8
1 9 2, 67.50, 15
3 3 2, 67.90, 17
2 0 4, 68.92, 8
2 6 4, 81.00, 9

Crystal structure
abc: 4.799 14.510 6.622
angles: 90.00 90.00 90.00
Space group Cmmm (No. 65)
Symmetry-distinct sites (fractional):
1 Pr 0.000 0.000 0.000 x2
2 Sc 0.000 0.000 0.500 x2
3 Sc 0.000 0.329 0.000 x4
4 Sc 0.000 0.334 0.500 x4
5 Pd 0.000 0.177 0.258 x8
6 Pd 0.000 0.500 0.273 x4

(8)
Diffraction record for BaPrMg10. The X-ray powder pattern is calculated, not measured: it uses a cell relaxed with PBE and CuKα.
Lines closer than 0.1° are merged.

Most intense lines, 10 to 90 degrees two-theta, low angle first:
h k l, two_theta, I (rel.)
0 1 1, 16.65, 44
1 1 1, 24.32, 98
0 2 0, 29.05, 44
0 0 4, 33.67, 40
1 2 0, 34.17, 100
2 0 0, 35.63, 23
2 2 0, 46.61, 24
1 3 1, 48.73, 30
2 0 4, 49.84, 26
1 3 3, 54.85, 24

Crystal structure
abc: 5.039 6.143 10.654
angles: 90.00 90.00 90.00
Space group Pmmm (No. 47)
Symmetry-distinct sites (fractional):
1 Ba 0.000 0.000 0.000 x1
2 Pr 0.000 0.500 0.500 x1
3 Mg 0.000 0.000 0.342 x2
4 Mg 0.000 0.500 0.177 x2
5 Mg 0.500 0.000 0.500 x1
6 Mg 0.500 0.255 0.261 x4
7 Mg 0.500 0.500 0.000 x1

(9)
Diffraction record for LiAg5Cl7. The X-ray powder pattern is calculated, not measured: it uses a cell relaxed with PBE and CuKα.
Lines closer than 0.1° are merged.

Most intense lines, 10 to 90 degrees two-theta, low angle first:
h k l, two_theta, I (rel.)
2 0 -6, 25.52, 100
1 1 2, 25.82, 50
2 0 6, 25.96, 99
4 0 0, 27.35, 34
3 1 2, 32.50, 64
3 1 -3, 33.31, 50
3 1 3, 33.58, 46
3 1 -4, 34.70, 57
5 1 -4, 44.64, 51
0 2 0, 48.67, 44

Crystal structure
abc: 13.044 3.742 24.505
angles: 90.00 91.07 90.00
Space group C2/m (No. 12)
Symmetry-distinct sites (fractional):
1 Li 0.198 0.000 0.293 x4
2 Ag 0.000 0.000 0.000 x2
3 Ag 0.000 0.000 0.500 x2
4 Ag 0.004 0.500 0.844 x4
5 Ag 0.024 0.500 0.669 x4
6 Ag 0.235 0.500 0.426 x4
7 Ag 0.249 0.500 0.080 x4
8 Cl 0.102 0.000 0.388 x4
9 Cl 0.106 0.500 0.252 x4
10 Cl 0.112 0.000 0.108 x4
11 Cl 0.133 0.500 0.970 x4
12 Cl 0.134 0.000 0.829 x4
13 Cl 0.134 0.500 0.529 x4
14 Cl 0.169 0.000 0.672 x4

(10)
Diffraction record for Ac6HgIr3Pd2. The X-ray powder pattern is calculated, not measured: it uses a cell relaxed with PBE and CuKα.
Lines closer than 0.1° are merged.

Most intense lines, 10 to 90 degrees two-theta, low angle first:
h k l, two_theta, I (rel.)
1 1 -2, 28.52, 100
2 0 -4, 40.33, 12
7 1 -2, 40.47, 24
0 2 0, 41.12, 39
4 0 4, 50.68, 7
6 2 0, 50.87, 14
2 2 -4, 59.03, 12
8 2 -4, 66.42, 10
4 2 4, 67.30, 11
7 3 -2, 74.56, 8

Crystal structure
abc: 19.382 4.384 8.947
angles: 90.00 104.53 90.00
Space group C2/m (No. 12)
Symmetry-distinct sites (fractional):
1 Ac 0.004 0.000 0.222 x4
2 Ac 0.164 0.500 0.094 x4
3 Ac 0.178 0.500 0.579 x4
4 Hg 0.000 0.500 0.500 x2
5 Ir 0.000 0.500 0.000 x2
6 Ir 0.164 0.000 0.334 x4
7 Pd 0.165 0.000 0.831 x4

(11)
Diffraction record for PmAlIr4. The X-ray powder pattern is calculated, not measured: it uses a cell relaxed with PBE and CuKα.
Lines closer than 0.1° are merged.

Most intense lines, 10 to 90 degrees two-theta, low angle first:
h k l, two_theta, I (rel.)
1 1 1, 20.52, 49
2 2 0, 33.83, 9
3 1 1, 39.89, 100
2 2 2, 41.75, 67
4 0 0, 48.59, 19
3 3 1, 53.28, 13
5 1 1, 64.62, 33
4 4 0, 71.16, 31
5 3 3, 84.83, 12
6 2 2, 86.05, 26

Crystal structure
abc: 7.495 7.495 7.495
angles: 90.00 90.00 90.00
Space group F-43m (No. 216)
Symmetry-distinct sites (fractional):
1 Pm 0.000 0.000 0.000 x4
2 Al 0.250 0.250 0.750 x4
3 Ir 0.124 0.124 0.376 x16

(12)
Diffraction record for PuSn2Au3. The X-ray powder pattern is calculated, not measured: it uses a cell relaxed with PBE and CuKα.
Lines closer than 0.1° are merged.

Most intense lines, 10 to 90 degrees two-theta, low angle first:
h k l, two_theta, I (rel.)
2 0 0, 31.72, 100
0 3 1, 33.06, 71
0 6 0, 33.50, 85
1 2 1, 34.53, 68
1 4 1, 39.78, 56
2 3 1, 46.47, 56
2 6 0, 46.80, 69
2 0 2, 68.33, 23
0 6 2, 69.37, 22
2 6 2, 78.28, 32

Crystal structure
abc: 5.642 16.048 3.142
angles: 90.00 90.00 90.00
Space group Pmmn (No. 59, origin choice 2)
Symmetry-distinct sites (fractional):
1 Pu 0.250 0.250 0.249 x2
2 Sn 0.250 0.577 0.247 x4
3 Au 0.250 0.083 0.749 x4
4 Au 0.250 0.750 0.251 x2

(13)
Diffraction record for NaLaScNbO6. The X-ray powder pattern is calculated, not measured: it uses a cell relaxed with PBE and CuKα.
Lines closer than 0.1° are merged.

Most intense lines, 10 to 90 degrees two-theta, low angle first:
h k l, two_theta, I (rel.)
0 0 1, 10.91, 89
0 2 1, 24.61, 37
2 0 1, 24.80, 32
0 2 2, 31.24, 85
2 0 -2, 31.39, 100
2 2 0, 31.45, 82
0 0 4, 44.68, 28
0 4 0, 44.85, 35
4 0 0, 45.30, 29
2 2 4, 55.75, 57

Crystal structure
abc: 8.008 8.084 8.112
angles: 90.00 90.17 90.00
Space group C2/m (No. 12)
Symmetry-distinct sites (fractional):
1 Na 0.000 0.246 0.000 x4
2 La 0.000 0.245 0.500 x4
3 Sc 0.248 0.500 0.247 x4
4 Nb 0.248 0.000 0.235 x4
5 O 0.005 0.500 0.681 x4
6 O 0.007 0.000 0.200 x4
7 O 0.184 0.000 0.499 x4
8 O 0.192 0.500 0.992 x4
9 O 0.249 0.256 0.721 x8